PmNd4Tm: simulated powder X-ray diffraction pattern (a wavelength of 1.5418 Å), based on a PBE-relaxed structure.
Peak positions follow from Bragg's law for the DFT cell and can differ from measured ones.

Atomic structure:
abc: 5.1624 15.4728 5.1501
angles: 90.00 90.00 90.00
Space group Cmmm (No. 65)
Symmetry-distinct sites (fractional):
Pm 0.0000 0.0000 0.0000
Nd 0.0000 0.1656 0.5000
Nd 0.0000 0.3350 0.0000
Tm 0.0000 0.5000 0.5000

Largest 6 diffraction maxima, sorted by position, 2θ from 10° to 90°:
Position (°2θ), I_rel, (hkl)
30.01, 100.0, 1 3 1
34.79, 50.7, 2 0 0
50.03, 36.3, 2 6 0
59.42, 28.9, 3 3 1
59.51, 14.4, 1 3 3
81.33, 17.6, 3 3 3